Simulated powder X-ray diffraction pattern
Compound: PaTaSO4
Radiation: CuKα
Structure: a GGA-PBE-relaxed structure

```
PaTaSO4
1.0
5.187 -3.747 0.000
5.187 3.747 0.000
-2.612 0.000 6.555
Pa Ta S O
2 2 2 8
direct
0.212 0.212 0.154
0.788 0.788 0.846
0.373 0.373 0.765
0.627 0.627 0.235
0.017 0.017 0.780
0.983 0.983 0.220
0.080 0.500 0.815
0.326 0.326 0.483
0.430 0.430 0.130
0.500 0.080 0.815
0.500 0.920 0.185
0.570 0.570 0.870
0.674 0.674 0.517
0.920 0.500 0.185
```

The 10 most intense peaks (10 to 80 degrees two-theta), by angle:
- 13.51 deg, rel. 47
- 18.40 deg, rel. 60
- 23.75 deg, rel. 100
- 26.70 deg, rel. 63
- 27.21 deg, rel. 32
- 27.96 deg, rel. 40
- 28.62 deg, rel. 72
- 33.22 deg, rel. 29
- 36.03 deg, rel. 40
- 44.89 deg, rel. 25

---

Simulated powder X-ray diffraction pattern
Compound: Pa2Sb2O
Radiation: CuKα
Structure: a GGA-PBE-relaxed structure

```
Pa2Sb2O
1.0
2.066 -7.633 0.000
2.066 7.633 0.000
0.000 0.000 7.992
Pa Sb O
4 4 2
direct
0.047 0.953 0.500
0.356 0.644 0.347
0.644 0.356 0.847
0.953 0.047 0.000
0.287 0.713 0.988
0.436 0.564 0.699
0.564 0.436 0.199
0.713 0.287 0.488
0.090 0.910 0.801
0.910 0.090 0.301
```

The 10 most intense peaks (10 to 80 degrees two-theta), by angle:
- 27.81 deg, rel. 70
- 30.01 deg, rel. 100
- 31.69 deg, rel. 72
- 32.44 deg, rel. 30
- 35.70 deg, rel. 59
- 35.90 deg, rel. 44
- 37.08 deg, rel. 52
- 38.34 deg, rel. 39
- 43.81 deg, rel. 36
- 58.71 deg, rel. 32

---

Simulated powder X-ray diffraction pattern
Compound: PaSb4O12
Radiation: CuKα
Structure: a GGA-PBE-relaxed structure

```
PaSb4O12
1.0
-3.998 3.998 3.823
3.998 -3.998 3.823
3.998 3.998 -3.823
Pa Sb O
1 4 12
direct
0.000 0.000 0.000
0.000 0.000 0.500
0.000 0.500 0.000
0.500 0.000 0.000
0.500 0.500 0.500
0.045 0.812 0.232
0.188 0.420 0.232
0.188 0.955 0.768
0.292 0.292 0.584
0.292 0.708 0.000
0.420 0.188 0.232
0.580 0.812 0.768
0.708 0.292 0.000
0.708 0.708 0.416
0.812 0.045 0.232
0.812 0.580 0.768
0.955 0.188 0.768
```

The 10 most intense peaks (10 to 80 degrees two-theta), by angle:
- 15.67 deg, rel. 41
- 16.04 deg, rel. 72
- 22.23 deg, rel. 32
- 27.54 deg, rel. 34
- 31.65 deg, rel. 50
- 32.40 deg, rel. 100
- 43.61 deg, rel. 18
- 45.36 deg, rel. 34
- 56.85 deg, rel. 45
- 58.27 deg, rel. 25

---

Simulated powder X-ray diffraction pattern
Compound: Sc2PaSbO8
Radiation: CuKα
Structure: a GGA-PBE-relaxed structure

```
Sc2PaSbO8
1.0
3.388 -3.469 0.000
3.388 3.469 0.000
0.000 0.000 6.676
Sc Pa Sb O
2 1 1 8
direct
0.000 0.000 0.238
0.000 0.000 0.762
0.500 0.500 0.500
0.500 0.500 0.000
0.190 0.190 0.500
0.205 0.205 0.000
0.308 0.692 0.229
0.308 0.692 0.771
0.692 0.308 0.229
0.692 0.308 0.771
0.795 0.795 0.000
0.810 0.810 0.500
```

The 10 most intense peaks (10 to 80 degrees two-theta), by angle:
- 18.30 deg, rel. 86
- 25.68 deg, rel. 63
- 26.30 deg, rel. 58
- 32.57 deg, rel. 100
- 37.09 deg, rel. 26
- 37.39 deg, rel. 31
- 42.07 deg, rel. 18
- 49.82 deg, rel. 43
- 50.53 deg, rel. 41
- 64.01 deg, rel. 25

---

Simulated powder X-ray diffraction pattern
Compound: ScPaSbO6
Radiation: CuKα
Structure: a GGA-PBE-relaxed structure

```
ScPaSbO6
1.0
5.434 0.000 0.000
-2.717 4.706 0.000
0.000 0.000 9.653
Sc Pa Sb O
2 2 2 12
direct
0.333 0.667 0.250
0.667 0.333 0.750
0.000 0.000 0.000
0.000 0.000 0.500
0.333 0.667 0.750
0.667 0.333 0.250
0.000 0.335 0.632
0.000 0.336 0.132
0.000 0.664 0.868
0.000 0.665 0.368
0.335 0.000 0.132
0.335 0.336 0.368
0.336 0.000 0.632
0.336 0.335 0.868
0.664 0.000 0.368
0.664 0.665 0.132
0.665 0.000 0.868
0.665 0.664 0.632
```

The 10 most intense peaks (10 to 80 degrees two-theta), by angle:
- 18.86 deg, rel. 22
- 21.00 deg, rel. 8
- 26.45 deg, rel. 100
- 32.97 deg, rel. 35
- 42.75 deg, rel. 28
- 50.59 deg, rel. 34
- 55.02 deg, rel. 27
- 58.87 deg, rel. 13
- 60.85 deg, rel. 10
- 75.45 deg, rel. 11

---

Simulated powder X-ray diffraction pattern
Compound: PaTl2SbO8
Radiation: CuKα
Structure: a GGA-PBE-relaxed structure

```
PaTl2SbO8
1.0
3.517 -3.623 0.000
3.517 3.623 0.000
0.000 0.000 6.870
Pa Tl Sb O
1 2 1 8
direct
0.000 0.000 0.000
0.500 0.500 0.260
0.500 0.500 0.740
0.000 0.000 0.500
0.178 0.822 0.269
0.178 0.822 0.731
0.284 0.284 0.500
0.299 0.299 0.000
0.701 0.701 0.000
0.716 0.716 0.500
0.822 0.178 0.269
0.822 0.178 0.731
```

The 10 most intense peaks (10 to 80 degrees two-theta), by angle:
- 24.57 deg, rel. 58
- 25.32 deg, rel. 51
- 31.50 deg, rel. 100
- 35.57 deg, rel. 31
- 47.81 deg, rel. 40
- 48.67 deg, rel. 36
- 58.32 deg, rel. 10
- 59.57 deg, rel. 10
- 61.36 deg, rel. 22
- 65.77 deg, rel. 12

---

Simulated powder X-ray diffraction pattern
Compound: PaZnSb2O8
Radiation: CuKα
Structure: a GGA-PBE-relaxed structure

```
PaZnSb2O8
1.0
-3.532 3.532 3.499
3.532 -3.532 3.499
3.532 3.532 -3.499
Pa Zn Sb O
1 1 2 8
direct
0.000 0.000 0.000
0.250 0.750 0.500
0.500 0.500 0.000
0.750 0.250 0.500
0.303 0.110 0.807
0.303 0.496 0.193
0.357 0.054 0.302
0.504 0.697 0.807
0.752 0.054 0.698
0.890 0.697 0.193
0.946 0.248 0.302
0.946 0.643 0.698
```

The 10 most intense peaks (10 to 80 degrees two-theta), by angle:
- 17.80 deg, rel. 37
- 25.21 deg, rel. 100
- 31.21 deg, rel. 95
- 35.95 deg, rel. 25
- 48.33 deg, rel. 71
- 51.76 deg, rel. 17
- 58.42 deg, rel. 16
- 58.90 deg, rel. 18
- 61.69 deg, rel. 20
- 73.51 deg, rel. 16

---

Simulated powder X-ray diffraction pattern
Compound: ScPaO4
Radiation: CuKα
Structure: a GGA-PBE-relaxed structure

```
ScPaO4
1.0
5.358 0.000 0.000
0.000 5.212 0.000
0.000 0.000 5.885
Sc Pa O
2 2 8
direct
0.000 0.000 0.000
0.000 0.500 0.500
0.500 0.000 0.633
0.500 0.500 0.133
0.184 0.233 0.714
0.184 0.267 0.214
0.313 0.716 0.412
0.313 0.784 0.912
0.687 0.216 0.912
0.687 0.284 0.412
0.816 0.733 0.214
0.816 0.767 0.714
```

The 10 most intense peaks (10 to 80 degrees two-theta), by angle:
- 16.54 deg, rel. 42
- 22.79 deg, rel. 52
- 28.29 deg, rel. 100
- 30.38 deg, rel. 14
- 34.78 deg, rel. 20
- 40.86 deg, rel. 23
- 48.75 deg, rel. 17
- 49.71 deg, rel. 33
- 56.68 deg, rel. 15
- 57.96 deg, rel. 14

---

Simulated powder X-ray diffraction pattern
Compound: ScPa2O7
Radiation: CuKα
Structure: a GGA-PBE-relaxed structure

```
ScPa2O7
1.0
1.928 1.113 10.100
-1.928 1.113 10.100
0.000 -2.226 10.100
Sc Pa O
1 2 7
direct
0.000 0.000 0.000
0.429 0.429 0.429
0.571 0.571 0.571
0.071 0.071 0.071
0.221 0.221 0.221
0.356 0.356 0.356
0.500 0.500 0.500
0.644 0.644 0.644
0.779 0.779 0.779
0.929 0.929 0.929
```

The 10 most intense peaks (10 to 80 degrees two-theta), by angle:
- 17.56 deg, rel. 92
- 26.47 deg, rel. 30
- 26.87 deg, rel. 100
- 27.35 deg, rel. 78
- 30.57 deg, rel. 57
- 33.91 deg, rel. 61
- 35.85 deg, rel. 46
- 47.15 deg, rel. 61
- 50.24 deg, rel. 50
- 50.69 deg, rel. 38

---

Simulated powder X-ray diffraction pattern
Compound: ScPaO
Radiation: CuKα
Structure: a GGA-PBE-relaxed structure

```
ScPaO
1.0
6.656 0.000 0.000
0.000 10.638 0.000
0.000 0.000 3.184
Sc Pa O
4 4 4
direct
0.226 0.000 0.000
0.274 0.500 0.500
0.726 0.500 0.500
0.774 0.000 0.000
0.009 0.245 0.500
0.491 0.745 0.000
0.509 0.255 0.000
0.991 0.755 0.500
0.205 0.368 0.000
0.295 0.868 0.500
0.705 0.132 0.500
0.795 0.632 0.000
```

The 10 most intense peaks (10 to 80 degrees two-theta), by angle:
- 16.67 deg, rel. 93
- 26.79 deg, rel. 26
- 31.14 deg, rel. 60
- 31.72 deg, rel. 89
- 33.70 deg, rel. 34
- 35.52 deg, rel. 100
- 46.54 deg, rel. 44
- 50.11 deg, rel. 23
- 53.18 deg, rel. 26
- 61.46 deg, rel. 21

---

Simulated powder X-ray diffraction pattern
Compound: Sc2PaSiO8
Radiation: CuKα
Structure: a GGA-PBE-relaxed structure

```
Sc2PaSiO8
1.0
3.345 -3.351 0.000
3.345 3.351 0.000
0.000 0.000 6.405
Sc Pa Si O
2 1 1 8
direct
0.000 0.000 0.232
0.000 0.000 0.768
0.500 0.500 0.500
0.500 0.500 0.000
0.188 0.188 0.500
0.227 0.227 0.000
0.315 0.685 0.208
0.315 0.685 0.792
0.685 0.315 0.208
0.685 0.315 0.792
0.773 0.773 0.000
0.812 0.812 0.500
```

The 10 most intense peaks (10 to 80 degrees two-theta), by angle:
- 13.83 deg, rel. 44
- 18.74 deg, rel. 51
- 23.36 deg, rel. 74
- 26.62 deg, rel. 100
- 30.12 deg, rel. 39
- 33.79 deg, rel. 74
- 38.90 deg, rel. 22
- 40.63 deg, rel. 21
- 45.10 deg, rel. 35
- 51.76 deg, rel. 65

---

Simulated powder X-ray diffraction pattern
Compound: ScPaTl2O6
Radiation: CuKα
Structure: a GGA-PBE-relaxed structure

```
ScPaTl2O6
1.0
5.088 -3.021 0.000
5.088 3.021 0.000
-3.401 0.000 4.848
Sc Pa Tl O
1 1 2 6
direct
0.000 0.000 0.000
0.500 0.500 0.500
0.249 0.249 0.767
0.751 0.751 0.233
0.189 0.696 0.188
0.247 0.247 0.348
0.304 0.811 0.812
0.696 0.189 0.188
0.753 0.753 0.652
0.811 0.304 0.812
```

The 10 most intense peaks (10 to 80 degrees two-theta), by angle:
- 18.14 deg, rel. 17
- 29.57 deg, rel. 36
- 30.01 deg, rel. 71
- 30.21 deg, rel. 100
- 42.76 deg, rel. 36
- 43.45 deg, rel. 16
- 52.74 deg, rel. 15
- 52.87 deg, rel. 15
- 53.41 deg, rel. 32
- 53.76 deg, rel. 15